Pu2Be4Ir5: calculated PXRD pattern (Cu Kα), based on a structure optimized by DFT (PBE).
Peak positions follow from Bragg's law for the DFT cell and can differ from measured ones.

Principal peaks in the range 5° ≤ 2θ ≤ 70°, most intense first:
2theta, d_spacing, intensity
36.97, 2.431, 100
34.70, 2.585, 63
28.45, 3.137, 59
37.82, 2.379, 46
43.44, 2.083, 36
58.93, 1.567, 30
39.27, 2.294, 28
67.74, 1.383, 18

Structure:
```
Pu2Be4Ir5
1.0
0.000 4.758 6.159
2.829 0.000 6.159
2.829 4.758 0.000
Pu Be Ir
2 4 5
Cartesian
2.829 4.758 1.615
2.829 4.758 10.704
2.829 3.283 4.523
2.829 3.283 7.796
2.829 6.232 4.523
2.829 6.232 7.796
1.414 2.379 0.000
1.414 2.379 3.080
1.414 2.379 6.159
2.829 4.758 6.159
4.243 7.136 9.239
```